[1]
# Li2Ni3SnO8
Computed X-ray diffraction stick pattern, a wavelength of 1.5418 Å. Input: a structure optimized by DFT (GGA+U).
No peak broadening, texture or thermal motion is included.

Main lines, low angle first (2θ from 5° to 70°):
h k l  2θ (°)  Rel. int.
1 0 1  18.5  100
1 2 -1  35.2  12
-2 1 1  35.6  15
0 2 2  36.3  19
2 0 -2  37.6  11
2 2 0  42.4  19
2 -2 0  43.1  18
0 0 4  44.2  17

Structural model:
Cell lengths 5.918, 6.060, 8.193 Å; angles 88.01, 89.78, 89.14 degrees
Space group P1 (No. 1)
One atom of each set of equivalent atoms:
Li (0.000, 0.000, 0.000) (multiplicity 1)
Li (0.021, 0.487, 0.232) (multiplicity 1)
Li (0.498, 0.500, 0.500) (multiplicity 1)
Li (0.523, 0.986, 0.733) (multiplicity 1)
Ni (0.011, 0.743, 0.616) (multiplicity 1)
Ni (0.259, 0.493, 0.866) (multiplicity 1)
Ni (0.261, 0.994, 0.366) (multiplicity 1)
Ni (0.510, 0.244, 0.116) (multiplicity 1)
Ni (0.760, 0.493, 0.866) (multiplicity 1)
Ni (0.762, 0.993, 0.366) (multiplicity 1)
Sn (0.010, 0.243, 0.617) (multiplicity 1)
Sn (0.511, 0.744, 0.116) (multiplicity 1)
O (0.001, 0.280, 0.869) (multiplicity 1)
O (0.019, 0.205, 0.364) (multiplicity 1)
O (0.036, 0.771, 0.384) (multiplicity 1)
O (0.233, 0.506, 0.636) (multiplicity 1)
O (0.254, 0.998, 0.598) (multiplicity 1)
O (0.268, 0.989, 0.135) (multiplicity 1)
O (0.287, 0.481, 0.097) (multiplicity 1)
O (0.487, 0.216, 0.348) (multiplicity 1)
O (0.504, 0.782, 0.369) (multiplicity 1)
O (0.518, 0.706, 0.864) (multiplicity 1)
O (0.533, 0.272, 0.884) (multiplicity 1)
O (0.734, 0.007, 0.136) (multiplicity 1)
O (0.752, 0.497, 0.098) (multiplicity 1)
O (0.767, 0.489, 0.634) (multiplicity 1)
O (0.788, 0.980, 0.597) (multiplicity 1)
O (0.986, 0.714, 0.848) (multiplicity 1)

***

[2]
# Li3Mn2Si2O8
Computed X-ray diffraction stick pattern, a wavelength of 1.5418 Å. Input: a structure optimized by DFT (GGA+U).
No peak broadening, texture or thermal motion is included.

Main lines, low angle first (2θ from 5° to 70°):
h k l  2θ (°)  Rel. int.
1 0 -2  20.8  53
1 0 2  21.4  46
1 1 0  22.4  100
1 1 2  28.0  16
2 0 -2  31.2  22
2 0 2  32.0  32
0 0 4  32.9  34
0 2 0  36.1  58

Structural model:
Cell lengths 6.633, 4.971, 10.903 Å; angles 90.00, 91.70, 90.00 degrees
Space group Pc (No. 7)
One atom of each set of equivalent atoms:
Li (0.000, 0.042, 0.000) (multiplicity 2)
Li (0.255, 0.046, 0.767) (multiplicity 2)
Li (0.498, 0.450, 0.193) (multiplicity 2)
Mn (0.519, 0.048, 0.006) (multiplicity 2)
Mn (0.994, 0.459, 0.179) (multiplicity 2)
Si (0.255, 0.445, 0.434) (multiplicity 2)
Si (0.750, 0.064, 0.762) (multiplicity 2)
O (0.062, 0.439, 0.008) (multiplicity 2)
O (0.244, 0.450, 0.789) (multiplicity 2)
O (0.254, 0.112, 0.435) (multiplicity 2)
O (0.459, 0.449, 0.007) (multiplicity 2)
O (0.537, 0.041, 0.195) (multiplicity 2)
O (0.753, 0.395, 0.745) (multiplicity 2)
O (0.759, 0.020, 0.405) (multiplicity 2)
O (0.955, 0.048, 0.190) (multiplicity 2)

***

[3]
# Li6CrO4
Computed X-ray diffraction stick pattern, a wavelength of 1.5418 Å. Input: a structure optimized by DFT (GGA+U).
No peak broadening, texture or thermal motion is included.

Main lines, low angle first (2θ from 5° to 70°):
h k l  2θ (°)  Rel. int.
1 1 0  18.5  30
1 0 1  23.3  100
2 0 0  26.3  22
2 0 1  32.8  45
2 1 1  35.4  39
3 0 1  44.6  29
0 4 0  54.1  22
2 2 2  55.2  35

Structural model:
Cell lengths 6.778, 6.781, 4.618 Å; angles 90.00, 90.00, 90.00 degrees
Space group Pmmn (No. 59, origin choice 2)
One atom of each set of equivalent atoms:
Li (0.033, 0.033, 0.250) (multiplicity 8)
Li (0.250, 0.750, 0.187) (multiplicity 2)
Li (0.250, 0.750, 0.687) (multiplicity 2)
Cr (0.250, 0.250, 0.750) (multiplicity 2)
O (0.020, 0.750, 0.448) (multiplicity 4)
O (0.250, 0.520, 0.948) (multiplicity 4)

***

[4]
# MgTiCo3O8
Computed X-ray diffraction stick pattern, a wavelength of 1.5418 Å. Input: a structure optimized by DFT (GGA+U).
No peak broadening, texture or thermal motion is included.

Main lines, low angle first (2θ from 5° to 70°):
h k l  2θ (°)  Rel. int.
0 0 1  17.0  100
2 0 -1  35.8  41
0 2 0  42.3  14
2 2 2  42.4  14
2 0 -2  42.5  14
0 2 -1  54.5  6
2 2 3  54.7  6
4 2 0  63.4  16

Structural model:
Cell lengths 5.867, 5.868, 6.201 Å; angles 61.97, 89.85, 60.01 degrees
Space group P1 (No. 1)
One atom of each set of equivalent atoms:
Mg (0.000, 0.000, 0.000) (multiplicity 1)
Ti (0.825, 0.355, 0.461) (multiplicity 1)
Co (0.364, 0.276, 0.576) (multiplicity 1)
Co (0.364, 0.780, 0.577) (multiplicity 1)
Co (0.861, 0.779, 0.578) (multiplicity 1)
O (0.076, 0.319, 0.752) (multiplicity 1)
O (0.076, 0.851, 0.752) (multiplicity 1)
O (0.128, 0.746, 0.376) (multiplicity 1)
O (0.134, 0.255, 0.349) (multiplicity 1)
O (0.591, 0.824, 0.759) (multiplicity 1)
O (0.608, 0.320, 0.751) (multiplicity 1)
O (0.616, 0.255, 0.348) (multiplicity 1)
O (0.616, 0.775, 0.348) (multiplicity 1)